[1]
Starting from a structure optimized by DFT (GGA-PBE), the XRD peak list of SrCaYNbO6 was calculated for Cu Kα (weighted mean of Kα1 and Kα2).
Lines closer than 0.1° are merged.

Top 10 peaks for 2θ = 5–70°, low angle first:
hkl 1 1 1, 18.3°, 4.854 Å, I 5.9
hkl 2 0 0, 21.1°, 4.204 Å, I 13.1
hkl 2 2 0, 30.1°, 2.972 Å, I 100.0
hkl 3 1 1, 35.4°, 2.535 Å, I 3.4
hkl 4 0 0, 43.0°, 2.102 Å, I 38.1
hkl 3 3 1, 47.1°, 1.929 Å, I 1.6
hkl 4 2 0, 48.4°, 1.880 Å, I 4.7
hkl 4 2 2, 53.4°, 1.716 Å, I 39.0
hkl 4 4 0, 62.5°, 1.486 Å, I 22.5
hkl 6 0 0, 66.8°, 1.401 Å, I 2.0

Structural model:
Cell: 8.407 8.407 8.407 Å, 90.00 90.00 90.00°
Space group F-43m (No. 216)
Inequivalent atoms, fractional coordinates:
Sr (0.000, 0.000, 0.000) (multiplicity 4)
Ca (0.000, 0.000, 0.500) (multiplicity 4)
Y (0.250, 0.250, 0.250) (multiplicity 4)
Nb (0.250, 0.250, 0.750) (multiplicity 4)
O (0.012, 0.250, 0.750) (multiplicity 24)

---

[2]
Starting from a structure optimized by DFT (GGA-PBE), the XRD peak list of CaThNb2O8 was calculated for Cu Kα (weighted mean of Kα1 and Kα2).
Lines closer than 0.1° are merged.

Top 10 peaks for 2θ = 5–70°, low angle first:
hkl 0 2 0, 15.6°, 5.671 Å, I 30.7
hkl 1 1 0, 18.0°, 4.924 Å, I 22.9
hkl 1 1 -1, 18.8°, 4.728 Å, I 23.2
hkl 0 2 1, 27.7°, 3.219 Å, I 100.0
hkl 2 2 -1, 29.2°, 3.063 Å, I 93.8
hkl 0 4 0, 31.6°, 2.836 Å, I 21.5
hkl 2 0 0, 32.8°, 2.733 Å, I 20.6
hkl 2 4 0, 46.1°, 1.968 Å, I 28.4
hkl 0 0 2, 46.4°, 1.955 Å, I 21.8
hkl 2 4 -2, 47.4°, 1.917 Å, I 27.4

Structural model:
Cell: 7.290 11.342 5.214 Å, 90.00 131.43 90.00°
Space group C2 (No. 5)
Inequivalent atoms, fractional coordinates:
Ca (0.000, 0.000, 0.000) (multiplicity 2)
Th (0.000, 0.742, 0.500) (multiplicity 2)
Nb (0.000, 0.266, 0.500) (multiplicity 2)
Nb (0.000, 0.478, 0.000) (multiplicity 2)
O (0.151, 0.581, 0.907) (multiplicity 4)
O (0.160, 0.164, 0.417) (multiplicity 4)
O (0.241, 0.401, 0.442) (multiplicity 4)
O (0.245, 0.336, 0.950) (multiplicity 4)

---

[3]
Starting from a structure optimized by DFT (GGA-PBE), the XRD peak list of Ca2TiNb2O8 was calculated for Cu Kα (weighted mean of Kα1 and Kα2).
Lines closer than 0.1° are merged.

Top 10 peaks for 2θ = 5–70°, low angle first:
hkl 3 1 0, 20.1°, 4.428 Å, I 25.5
hkl 5 1 0, 27.9°, 3.202 Å, I 55.0
hkl 5 1 -1, 32.0°, 2.799 Å, I 58.9
hkl 0 0 2, 32.6°, 2.750 Å, I 100.0
hkl 5 1 1, 32.7°, 2.738 Å, I 52.7
hkl 4 2 1, 38.3°, 2.350 Å, I 25.2
hkl 5 1 -2, 42.8°, 2.114 Å, I 20.9
hkl 5 1 2, 43.9°, 2.062 Å, I 20.8
hkl 5 3 0, 49.6°, 1.837 Å, I 33.3
hkl 0 2 3, 58.1°, 1.588 Å, I 32.0

Structural model:
Cell: 18.556 6.345 5.507 Å, 90.00 91.66 90.00°
Space group C2/c (No. 15)
Inequivalent atoms, fractional coordinates:
Ca (0.205, 0.180, 0.240) (multiplicity 8)
Ti (0.000, 0.123, 0.250) (multiplicity 4)
Nb (0.109, 0.356, 0.759) (multiplicity 8)
O (0.054, 0.128, 0.581) (multiplicity 8)
O (0.066, 0.353, 0.107) (multiplicity 8)
O (0.177, 0.442, 0.489) (multiplicity 8)
O (0.185, 0.155, 0.836) (multiplicity 8)

---

[4]
Starting from a structure optimized by DFT (GGA-PBE), the XRD peak list of Ca2YNbO6 was calculated for Cu Kα (weighted mean of Kα1 and Kα2).
Lines closer than 0.1° are merged.

Top 10 peaks for 2θ = 5–70°, low angle first:
hkl 1 1 -1, 21.8°, 4.074 Å, I 97.5
hkl 0 2 0, 30.5°, 2.935 Å, I 48.6
hkl 1 1 1, 31.0°, 2.889 Å, I 100.0
hkl 1 1 -3, 31.1°, 2.875 Å, I 99.7
hkl 2 0 -2, 31.6°, 2.827 Å, I 42.2
hkl 0 0 4, 44.5°, 2.037 Å, I 82.1
hkl 1 3 -3, 54.5°, 1.683 Å, I 18.9
hkl 0 2 4, 54.8°, 1.675 Å, I 24.8
hkl 3 1 -1, 55.8°, 1.647 Å, I 34.3
hkl 3 1 -5, 56.1°, 1.639 Å, I 27.3

Structural model:
Cell: 5.655 5.870 9.894 Å, 90.00 124.46 90.00°
Space group P2_1/c (No. 14)
Inequivalent atoms, fractional coordinates:
Ca (0.235, 0.054, 0.249) (multiplicity 4)
Y (0.500, 0.000, 0.000) (multiplicity 2)
Nb (0.000, 0.000, 0.500) (multiplicity 2)
O (0.114, 0.210, 0.937) (multiplicity 4)
O (0.230, 0.684, 0.941) (multiplicity 4)
O (0.349, 0.046, 0.734) (multiplicity 4)

---

[5]
Starting from a structure optimized by DFT (GGA-PBE), the XRD peak list of Ca2ZrNbO6 was calculated for Cu Kα (weighted mean of Kα1 and Kα2).
Lines closer than 0.1° are merged.

Top 7 peaks for 2θ = 5–70°, low angle first:
hkl 2 0 0, 21.6°, 4.106 Å, I 41.3
hkl 2 2 0, 30.8°, 2.903 Å, I 100.0
hkl 4 0 0, 44.1°, 2.053 Å, I 41.9
hkl 4 2 0, 49.7°, 1.836 Å, I 16.6
hkl 4 2 2, 54.8°, 1.676 Å, I 38.1
hkl 4 4 0, 64.2°, 1.452 Å, I 24.0
hkl 6 0 0, 68.6°, 1.369 Å, I 7.4

Structural model:
Cell: 8.211 8.211 8.211 Å, 90.00 90.00 90.00°
Space group Fm-3m (No. 225)
Inequivalent atoms, fractional coordinates:
Ca (0.250, 0.250, 0.250) (multiplicity 8)
Zr (0.000, 0.000, 0.000) (multiplicity 4)
Nb (0.000, 0.000, 0.500) (multiplicity 4)
O (0.000, 0.000, 0.254) (multiplicity 24)

---

[6]
Starting from a structure optimized by DFT (GGA-PBE), the XRD peak list of Ca3Nd was calculated for Cu Kα (weighted mean of Kα1 and Kα2).
Lines closer than 0.1° are merged.

Top 10 peaks for 2θ = 5–70°, low angle first:
hkl 1 1 1, 18.0°, 4.934 Å, I 29.9
hkl 2 0 0, 20.8°, 4.273 Å, I 16.1
hkl 2 2 0, 29.6°, 3.022 Å, I 100.0
hkl 3 1 1, 34.8°, 2.577 Å, I 18.1
hkl 4 0 0, 42.3°, 2.137 Å, I 18.2
hkl 3 3 1, 46.3°, 1.961 Å, I 8.4
hkl 4 2 0, 47.6°, 1.911 Å, I 7.8
hkl 4 2 2, 52.5°, 1.744 Å, I 37.7
hkl 4 4 0, 61.4°, 1.511 Å, I 11.5
hkl 6 2 0, 69.6°, 1.351 Å, I 15.5

Structural model:
Cell: 8.546 8.546 8.546 Å, 90.00 90.00 90.00°
Space group Fm-3m (No. 225)
Inequivalent atoms, fractional coordinates:
Ca (0.000, 0.000, 0.000) (multiplicity 4)
Ca (0.250, 0.250, 0.250) (multiplicity 8)
Nd (0.000, 0.000, 0.500) (multiplicity 4)

---

[7]
Starting from a structure optimized by DFT (GGA-PBE), the XRD peak list of Ca2NdRuO6 was calculated for Cu Kα (weighted mean of Kα1 and Kα2).
Lines closer than 0.1° are merged.

Top 10 peaks for 2θ = 5–70°, low angle first:
hkl 0 1 1, 18.6°, 4.772 Å, I 31.0
hkl 1 0 0, 19.2°, 4.615 Å, I 29.1
hkl 0 2 0, 30.3°, 2.950 Å, I 21.1
hkl 1 1 -3, 31.1°, 2.872 Å, I 100.0
hkl 2 0 -2, 31.9°, 2.805 Å, I 22.6
hkl 2 1 -3, 37.2°, 2.418 Å, I 12.1
hkl 2 2 -2, 44.6°, 2.033 Å, I 21.4
hkl 0 0 4, 44.7°, 2.029 Å, I 14.0
hkl 1 3 -3, 54.4°, 1.688 Å, I 11.7
hkl 3 1 -5, 56.4°, 1.632 Å, I 23.9

Structural model:
Cell: 5.611 5.901 9.860 Å, 90.00 124.62 90.00°
Space group Pc (No. 7)
Inequivalent atoms, fractional coordinates:
Ca (0.000, 0.191, 0.000) (multiplicity 2)
Ca (0.261, 0.246, 0.746) (multiplicity 2)
Nd (0.522, 0.310, 0.491) (multiplicity 2)
Ru (0.760, 0.249, 0.245) (multiplicity 2)
O (0.106, 0.199, 0.475) (multiplicity 2)
O (0.418, 0.302, 0.016) (multiplicity 2)
O (0.523, 0.073, 0.298) (multiplicity 2)
O (0.654, 0.470, 0.813) (multiplicity 2)
O (0.861, 0.034, 0.677) (multiplicity 2)
O (0.996, 0.429, 0.194) (multiplicity 2)

---

[8]
Starting from a structure optimized by DFT (GGA-PBE), the XRD peak list of Ca2NdTaO6 was calculated for Cu Kα (weighted mean of Kα1 and Kα2).
Lines closer than 0.1° are merged.

Top 10 peaks for 2θ = 5–70°, low angle first:
hkl 0 1 1, 18.4°, 4.810 Å, I 41.3
hkl 1 0 -2, 19.1°, 4.658 Å, I 35.8
hkl 0 2 0, 30.1°, 2.968 Å, I 22.4
hkl 1 1 1, 30.8°, 2.899 Å, I 100.0
hkl 2 0 -2, 31.6°, 2.830 Å, I 22.5
hkl 2 1 -1, 36.8°, 2.440 Å, I 14.2
hkl 0 0 4, 44.2°, 2.050 Å, I 34.1
hkl 1 3 1, 53.9°, 1.700 Å, I 14.8
hkl 3 1 -1, 55.7°, 1.649 Å, I 12.2
hkl 3 1 -5, 55.9°, 1.645 Å, I 11.2

Structural model:
Cell: 5.659 5.936 9.952 Å, 90.00 124.44 90.00°
Space group Pc (No. 7)
Inequivalent atoms, fractional coordinates:
Ca (0.000, 0.195, 0.000) (multiplicity 2)
Ca (0.231, 0.247, 0.745) (multiplicity 2)
Nd (0.460, 0.307, 0.489) (multiplicity 2)
Ta (0.729, 0.249, 0.243) (multiplicity 2)
O (0.077, 0.075, 0.299) (multiplicity 2)
O (0.389, 0.428, 0.193) (multiplicity 2)
O (0.491, 0.036, 0.673) (multiplicity 2)
O (0.617, 0.308, 0.016) (multiplicity 2)
O (0.840, 0.193, 0.474) (multiplicity 2)
O (0.974, 0.469, 0.816) (multiplicity 2)

---

[9]
Starting from a structure optimized by DFT (GGA-PBE), the XRD peak list of CaNd2Ti2ZnO9 was calculated for Cu Kα (weighted mean of Kα1 and Kα2).
Lines closer than 0.1° are merged.

Top 10 peaks for 2θ = 5–70°, low angle first:
hkl 1 0 3, 19.8°, 4.478 Å, I 14.9
hkl 0 2 0, 31.3°, 2.861 Å, I 26.7
hkl 1 1 -6, 32.3°, 2.775 Å, I 100.0
hkl -1 1 6, 32.4°, 2.766 Å, I 31.2
hkl 2 0 0, 32.7°, 2.737 Å, I 32.8
hkl 2 -2 0, 46.0°, 1.973 Å, I 15.0
hkl 0 0 12, 46.7°, 1.944 Å, I 20.9
hkl 0 2 9, 47.3°, 1.921 Å, I 15.8
hkl 3 -1 6, 58.1°, 1.587 Å, I 22.6
hkl 2 0 -12, 58.3°, 1.583 Å, I 14.8

Structural model:
Cell: 5.475 5.723 23.331 Å, 89.98 89.80 89.70°
Space group P1 (No. 1)
Inequivalent atoms, fractional coordinates:
Ca (0.000, 0.000, 0.000) (multiplicity 1)
Ca (0.001, 0.000, 0.332) (multiplicity 1)
Ca (0.497, 0.612, 0.506) (multiplicity 1)
Ca (0.502, 0.610, 0.175) (multiplicity 1)
Nd (0.010, 0.990, 0.669) (multiplicity 1)
Nd (0.473, 0.488, 0.668) (multiplicity 1)
Nd (0.476, 0.479, 0.333) (multiplicity 1)
Nd (0.479, 0.480, 0.002) (multiplicity 1)
Nd (0.512, 0.612, 0.838) (multiplicity 1)
Nd (0.975, 0.113, 0.504) (multiplicity 1)
Nd (0.976, 0.115, 0.173) (multiplicity 1)
Nd (0.977, 0.113, 0.838) (multiplicity 1)
Ti (0.002, 0.555, 0.920) (multiplicity 1)
Ti (0.463, 0.032, 0.417) (multiplicity 1)
Ti (0.464, 0.032, 0.085) (multiplicity 1)
Ti (0.494, 0.051, 0.753) (multiplicity 1)
Ti (0.967, 0.564, 0.421) (multiplicity 1)
Ti (0.967, 0.565, 0.089) (multiplicity 1)
Ti (0.982, 0.554, 0.586) (multiplicity 1)
Ti (0.993, 0.559, 0.253) (multiplicity 1)
Zn (0.490, 0.040, 0.254) (multiplicity 1)
Zn (0.490, 0.045, 0.585) (multiplicity 1)
Zn (0.491, 0.046, 0.922) (multiplicity 1)
Zn (0.993, 0.551, 0.753) (multiplicity 1)
O (0.084, 0.526, 0.500) (multiplicity 1)
O (0.085, 0.528, 0.168) (multiplicity 1)
O (0.089, 0.522, 0.840) (multiplicity 1)
O (0.180, 0.261, 0.601) (multiplicity 1)
O (0.185, 0.266, 0.938) (multiplicity 1)
O (0.187, 0.265, 0.268) (multiplicity 1)
O (0.200, 0.248, 0.403) (multiplicity 1)
O (0.201, 0.243, 0.736) (multiplicity 1)
O (0.201, 0.249, 0.072) (multiplicity 1)
O (0.282, 0.740, 0.601) (multiplicity 1)
O (0.289, 0.735, 0.267) (multiplicity 1)
O (0.291, 0.736, 0.935) (multiplicity 1)
O (0.291, 0.754, 0.402) (multiplicity 1)
O (0.292, 0.754, 0.070) (multiplicity 1)
O (0.307, 0.761, 0.735) (multiplicity 1)
O (0.396, 0.021, 0.834) (multiplicity 1)
O (0.402, 0.022, 0.498) (multiplicity 1)
O (0.404, 0.023, 0.166) (multiplicity 1)
O (0.590, 0.075, 0.341) (multiplicity 1)
O (0.590, 0.082, 0.672) (multiplicity 1)
O (0.591, 0.076, 0.009) (multiplicity 1)
O (0.683, 0.339, 0.771) (multiplicity 1)
O (0.704, 0.362, 0.906) (multiplicity 1)
O (0.704, 0.363, 0.569) (multiplicity 1)
O (0.706, 0.358, 0.435) (multiplicity 1)
O (0.707, 0.358, 0.103) (multiplicity 1)
O (0.710, 0.362, 0.239) (multiplicity 1)
O (0.788, 0.861, 0.770) (multiplicity 1)
O (0.793, 0.843, 0.436) (multiplicity 1)
O (0.794, 0.843, 0.105) (multiplicity 1)
O (0.806, 0.840, 0.904) (multiplicity 1)
O (0.810, 0.845, 0.570) (multiplicity 1)
O (0.811, 0.843, 0.238) (multiplicity 1)
O (0.894, 0.580, 0.666) (multiplicity 1)
O (0.906, 0.580, 0.338) (multiplicity 1)
O (0.906, 0.583, 0.006) (multiplicity 1)

---

[10]
Starting from a structure optimized by DFT (GGA-PBE), the XRD peak list of CaNdRh2 was calculated for Cu Kα (weighted mean of Kα1 and Kα2).
Lines closer than 0.1° are merged.

Top 7 peaks for 2θ = 5–70°, low angle first:
hkl 1 1 1, 22.1°, 4.026 Å, I 15.4
hkl 2 0 0, 25.5°, 3.487 Å, I 0.5
hkl 2 2 0, 36.4°, 2.466 Å, I 100.0
hkl 3 1 1, 43.0°, 2.103 Å, I 8.5
hkl 4 0 0, 52.5°, 1.743 Å, I 17.2
hkl 3 3 1, 57.6°, 1.600 Å, I 3.7
hkl 4 2 2, 65.6°, 1.424 Å, I 34.6

Structural model:
Cell: 6.974 6.974 6.974 Å, 90.00 90.00 90.00°
Space group Fm-3m (No. 225)
Inequivalent atoms, fractional coordinates:
Ca (0.000, 0.000, 0.000) (multiplicity 4)
Nd (0.000, 0.000, 0.500) (multiplicity 4)
Rh (0.250, 0.250, 0.250) (multiplicity 8)

---

[11]
Starting from a structure optimized by DFT (GGA-PBE), the XRD peak list of CaNd2S4 was calculated for Cu Kα (weighted mean of Kα1 and Kα2).
Lines closer than 0.1° are merged.

Top 10 peaks for 2θ = 5–70°, low angle first:
hkl 1 0 1, 14.6°, 6.074 Å, I 24.7
hkl 2 0 0, 20.7°, 4.281 Å, I 14.0
hkl 1 1 2, 25.4°, 3.504 Å, I 100.0
hkl 1 0 3, 32.9°, 2.723 Å, I 28.1
hkl 3 1 0, 33.1°, 2.708 Å, I 81.4
hkl 2 1 3, 39.2°, 2.297 Å, I 48.2
hkl 3 2 1, 39.4°, 2.289 Å, I 33.1
hkl 4 0 2, 47.4°, 1.916 Å, I 30.5
hkl 3 2 3, 49.8°, 1.830 Å, I 27.2
hkl 5 3 2, 67.3°, 1.390 Å, I 16.7

Structural model:
Cell: 8.563 8.563 8.617 Å, 90.00 90.00 90.00°
Space group I-42d (No. 122)
Inequivalent atoms, fractional coordinates:
Ca (0.000, 0.000, 0.000) (multiplicity 4)
Nd (0.129, 0.750, 0.625) (multiplicity 8)
S (0.074, 0.678, 0.946) (multiplicity 16)